Theoretical powder diffractogram
Compound: PrSmHo6
Radiation: Cu Kα
Structure: a structure optimized by DFT (GGA-PBE)
Peak positions follow from Bragg's law for the DFT cell and can differ from measured ones.

Peak list (8 most intense, 2θ from 10° to 90°, most intense first)
- 2θ 34.4, I 100.0
- 2θ 31.8, I 88.2
- 2θ 33.0, I 87.0
- 2θ 32.2, I 75.3
- 2θ 32.5, I 51.7
- 2θ 30.4, I 42.0
- 2θ 35.4, I 39.3
- 2θ 28.6, I 38.2

Structural model:
```
data_PrSmHo6
_cell_length_a 6.0957
_cell_length_b 6.0957
_cell_length_c 8.5300
_cell_angle_alpha 102.45
_cell_angle_beta 102.45
_cell_angle_gamma 67.15
_space_group_name_H-M_alt 'P 1'
_space_group_IT_number 1
loop_
_space_group_symop_operation_xyz
'x,y,z'
loop_
_atom_site_label
_atom_site_fract_x
_atom_site_fract_y
_atom_site_fract_z
_atom_site_occupancy
Pr1 0.0000 0.0000 0.0000 1
Sm1 0.0000 0.0000 0.5000 1
Ho1 0.0615 0.5427 0.2015 1
Ho2 0.3747 0.3747 0.5762 1
Ho3 0.4573 0.9385 0.7985 1
Ho4 0.5427 0.0615 0.2015 1
Ho5 0.6253 0.6253 0.4238 1
Ho6 0.9385 0.4573 0.7985 1
```